Record 1
Starting from a crystal structure in Alexandria, relaxed with PBE, the XRD peak list of Y2Cr was simulated for a wavelength of 1.5418 Å.
Neutral-atom scattering factors, no anomalous dispersion.

Structure:
abc: 5.0742 5.0742 3.3182
angles: 90.00 90.00 90.00
Atoms (fractional coordinates):
Y 0.0000 0.5000 0.0000
Y 0.5000 0.0000 0.0000
Cr 0.0000 0.0000 0.5000

Main lines, low angle first (2θ from 5° to 70°):
d_spacing	I/Imax
5.074	186
3.588	422
3.318	172
2.537	564
2.436	1000
2.015	168
1.794	191
1.578	89
1.445	360
1.389	156


Record 2
Starting from a crystal structure in Alexandria, relaxed with PBE, the XRD peak list of PuZn11Ge was simulated for a wavelength of 1.5418 Å.
Neutral-atom scattering factors, no anomalous dispersion.

Structure:
abc: 6.8930 6.8930 6.7872
angles: 98.40 98.40 134.74
Atoms (fractional coordinates):
Pu 0.0000 0.0000 0.0000
Zn 0.0000 0.5000 0.0000
Zn 0.0078 0.3680 0.3522
Zn 0.2956 0.5125 0.7886
Zn 0.3680 0.0078 0.3522
Zn 0.4875 0.7044 0.2114
Zn 0.5000 0.0000 0.0000
Zn 0.5000 0.5000 0.5000
Zn 0.5125 0.2956 0.7886
Zn 0.6320 0.9922 0.6478
Zn 0.7044 0.4875 0.2114
Zn 0.9922 0.6320 0.6478
Ge 0.0000 0.0000 0.5000

Main lines, low angle first (2θ from 5° to 70°):
d_spacing	I/Imax
3.205	391
2.652	335
2.607	501
2.588	492
2.289	771
2.272	632
2.257	1000
2.245	490
2.235	935
2.225	435